No. 1
Computed powder X-ray diffraction pattern of Hf4BeGe for Cu Kα, from a crystal structure in Alexandria, relaxed with PBE.
Peak positions follow from Bragg's law for the DFT cell and can differ from measured ones.

Cell and atoms:
a b c (Å): 5.3208 5.3208 5.3208
angles (deg): 103.71 103.71 121.73
Fractional positions:
Hf: 0.0942 0.5942 0.1884
Hf: 0.4058 0.9058 0.8116
Hf: 0.5942 0.4058 0.5000
Hf: 0.9058 0.0942 0.5000
Be: 0.5000 0.5000 0.0000
Ge: 0.0000 0.0000 0.0000

Largest 6 diffraction maxima, low angle first, 15 to 90 degrees two-theta:
d (Å)	I/Imax
2.591	16.9
2.557	100.0
2.078	20.1
1.489	19.2
1.330	12.6
1.188	12.9


No. 2
Computed powder X-ray diffraction pattern of Tl2InMo for Cu Kα, from a crystal structure in Alexandria, relaxed with PBE.
Peak positions follow from Bragg's law for the DFT cell and can differ from measured ones.

Cell and atoms:
a b c (Å): 10.4182 10.4182 10.4182
angles (deg): 18.01 18.01 18.01
Fractional positions:
Tl: 0.2413 0.2413 0.2413
Tl: 0.7587 0.7587 0.7587
In: 0.0000 0.0000 0.0000
Mo: 0.5000 0.5000 0.5000

Largest 6 diffraction maxima, low angle first, 15 to 90 degrees two-theta:
d (Å)	I/Imax
2.651	100.0
2.562	27.4
2.276	59.1
1.631	23.8
1.389	13.5
1.376	20.8


Q: What is the formula in the first record?
A: Hf4BeGe